(1)
Diffraction record for K2ZnCl4. The powder X-ray diffraction pattern is theoretical, not measured: it uses a cell relaxed with GGA-PBE and Cu Kα X-rays.

Largest 10 diffraction maxima, in order of rising 2θ, 2θ = 5–70°:
| Position (°2θ) | d_spacing | intensity | (hkl) |
| --- | --- | --- | --- |
| 17.15 | 5.172 | 56 | 1 2 0 |
| 17.39 | 5.100 | 97 | 1 1 1 |
| 24.46 | 3.640 | 100 | 0 3 1 |
| 24.97 | 3.566 | 72 | 0 0 2 |
| 28.12 | 3.174 | 33 | 0 4 0 |
| 28.72 | 3.109 | 51 | 0 2 2 |
| 32.47 | 2.758 | 38 | 1 4 1 |
| 32.93 | 2.720 | 45 | 2 1 2 |
| 33.28 | 2.692 | 36 | 3 2 0 |
| 33.41 | 2.682 | 65 | 3 1 1 |

Lattice parameters (Å, degrees): 8.919 12.695 7.131 90.00 90.00 90.00
Space group Pna2_1 (No. 33)
Unique sites:
K 0.009 0.179 0.000 [4 per cell]
K 0.118 0.418 0.479 [4 per cell]
Zn 0.213 0.079 0.518 [4 per cell]
Cl 0.039 0.929 0.049 [4 per cell]
Cl 0.174 0.417 0.999 [4 per cell]
Cl 0.182 0.651 0.281 [4 per cell]
Cl 0.203 0.680 0.778 [4 per cell]

=====

(2)
Diffraction record for K3ZnCl6. The powder X-ray diffraction pattern is theoretical, not measured: it uses a cell relaxed with GGA-PBE and Cu Kα X-rays.

Largest 10 diffraction maxima, in order of rising 2θ, 2θ = 5–70°:
| Position (°2θ) | d_spacing | intensity | (hkl) |
| --- | --- | --- | --- |
| 13.17 | 6.725 | 58 | 0 0 1 |
| 17.10 | 5.184 | 34 | 1 0 0 |
| 23.10 | 3.851 | 39 | 1 0 -2 |
| 25.02 | 3.560 | 45 | 1 -2 0 |
| 25.91 | 3.439 | 34 | 0 1 -2 |
| 28.57 | 3.125 | 36 | 0 2 -1 |
| 33.13 | 2.704 | 35 | 0 2 -2 |
| 34.60 | 2.593 | 100 | 2 0 0 |
| 35.44 | 2.533 | 57 | -2 2 2 |
| 38.09 | 2.363 | 49 | 0 1 -3 |

Lattice parameters (Å, degrees): 6.814 7.137 7.819 93.48 114.76 117.99
Space group P-1 (No. 2)
Unique sites:
K 0.000 0.000 0.000 [1 per cell]
K 0.496 0.741 0.267 [2 per cell]
Zn 0.000 0.500 0.500 [1 per cell]
Cl 0.026 0.212 0.362 [2 per cell]
Cl 0.090 0.394 0.827 [2 per cell]
Cl 0.456 0.775 0.657 [2 per cell]

=====

(3)
Diffraction record for K2ZnCl4. The powder X-ray diffraction pattern is theoretical, not measured: it uses a cell relaxed with GGA-PBE and Cu Kα X-rays.

Largest 10 diffraction maxima, in order of rising 2θ, 2θ = 5–70°:
| Position (°2θ) | d_spacing | intensity | (hkl) |
| --- | --- | --- | --- |
| 14.19 | 6.243 | 61 | 1 0 -1 |
| 16.49 | 5.375 | 94 | 0 1 1 |
| 25.18 | 3.537 | 69 | 0 2 0 |
| 28.58 | 3.123 | 100 | 2 0 -2 |
| 28.80 | 3.100 | 42 | 1 0 2 |
| 31.32 | 2.856 | 89 | 2 1 -2 |
| 31.51 | 2.839 | 90 | 1 1 2 |
| 33.31 | 2.690 | 49 | 1 2 -2 |
| 37.07 | 2.425 | 69 | 2 2 0 |
| 41.44 | 2.179 | 53 | 1 0 -4 |

Lattice parameters (Å, degrees): 7.023 7.074 8.717 90.00 108.47 90.00
Space group P2_1 (No. 4)
Unique sites:
K 0.212 0.000 0.048 [2 per cell]
K 0.276 0.999 0.571 [2 per cell]
Zn 0.225 0.515 0.797 [2 per cell]
Cl 0.003 0.259 0.265 [2 per cell]
Cl 0.016 0.258 0.741 [2 per cell]
Cl 0.401 0.529 0.066 [2 per cell]
Cl 0.424 0.526 0.636 [2 per cell]

=====

(4)
Diffraction record for K2Zr7Cl18. The powder X-ray diffraction pattern is theoretical, not measured: it uses a cell relaxed with GGA-PBE and Cu Kα X-rays.

Largest 10 diffraction maxima, in order of rising 2θ, 2θ = 5–70°:
| Position (°2θ) | d_spacing | intensity | (hkl) |
| --- | --- | --- | --- |
| 10.19 | 8.677 | 19 | 0 0 3 |
| 11.24 | 7.870 | 32 | 1 0 1 |
| 12.70 | 6.972 | 100 | 0 1 2 |
| 21.27 | 4.178 | 27 | 1 1 3 |
| 33.48 | 2.677 | 94 | 3 -2 5 |
| 34.18 | 2.623 | 18 | 3 0 3 |
| 37.63 | 2.390 | 23 | 2 1 7 |
| 40.02 | 2.253 | 49 | 3 -2 8 |
| 50.66 | 1.802 | 44 | 1 4 0 |
| 54.44 | 1.685 | 22 | 2 1 13 |

Lattice parameters (Å, degrees): 9.5338 9.5338 26.0306 90.00 90.00 120.00
Space group R-3 (No. 148, hexagonal axes)
Unique sites:
K 0.0000 0.0000 0.2240 [6 per cell]
Zr 0.0000 0.0000 0.5000 [3 per cell]
Zr 0.0499 0.2135 0.0493 [18 per cell]
Cl 0.0392 0.2323 0.4445 [18 per cell]
Cl 0.0433 0.2390 0.6691 [18 per cell]
Cl 0.0555 0.2395 0.8867 [18 per cell]

=====

(5)
Diffraction record for LaNdNCl. The powder X-ray diffraction pattern is theoretical, not measured: it uses a cell relaxed with GGA-PBE and Cu Kα X-rays.

Largest 10 diffraction maxima, in order of rising 2θ, 2θ = 5–70°:
| Position (°2θ) | d_spacing | intensity | (hkl) |
| --- | --- | --- | --- |
| 12.36 | 7.163 | 17 | 0 0 2 |
| 27.84 | 3.205 | 24 | 1 0 0 |
| 28.54 | 3.127 | 23 | 0 1 1 |
| 33.68 | 2.661 | 100 | 0 1 3 |
| 37.67 | 2.388 | 23 | 0 0 6 |
| 47.48 | 1.915 | 13 | 1 0 6 |
| 49.25 | 1.850 | 25 | 1 1 0 |
| 53.09 | 1.725 | 12 | 0 1 7 |
| 60.99 | 1.519 | 18 | 2 0 3 |
| 63.62 | 1.463 | 19 | 1 1 6 |

Lattice parameters (Å, degrees): 3.7004 3.7004 14.3270 90.00 90.00 120.00
Space group P-3m1 (No. 164)
Unique sites:
La 0.3333 0.6667 0.0964 [2 per cell]
Nd 0.3333 0.6667 0.4079 [2 per cell]
N 0.0000 0.0000 0.0000 [1 per cell]
N 0.0000 0.0000 0.5000 [1 per cell]
Cl 0.3333 0.6667 0.7428 [2 per cell]

=====

(6)
Diffraction record for LaNb2ClO6. The powder X-ray diffraction pattern is theoretical, not measured: it uses a cell relaxed with GGA-PBE and Cu Kα X-rays.

Largest 10 diffraction maxima, in order of rising 2θ, 2θ = 5–70°:
| Position (°2θ) | d_spacing | intensity | (hkl) |
| --- | --- | --- | --- |
| 13.93 | 6.357 | 28 | 1 0 1 |
| 21.01 | 4.228 | 22 | 2 0 1 |
| 24.26 | 3.669 | 19 | 0 2 0 |
| 28.07 | 3.179 | 100 | 2 0 2 |
| 29.35 | 3.043 | 22 | 3 0 1 |
| 30.42 | 2.938 | 46 | 2 2 0 |
| 32.48 | 2.757 | 34 | 0 2 2 |
| 49.68 | 1.835 | 38 | 0 4 0 |
| 51.20 | 1.784 | 19 | 1 2 4 |
| 58.03 | 1.589 | 18 | 2 4 2 |

Lattice parameters (Å, degrees): 9.805 7.341 8.350 90.00 90.00 90.00
Space group Pnma (No. 62)
Unique sites:
La 0.177 0.250 0.188 [4 per cell]
Nb 0.000 0.000 0.500 [4 per cell]
Nb 0.234 0.750 0.229 [4 per cell]
Cl 0.105 0.750 0.927 [4 per cell]
O 0.003 0.750 0.582 [4 per cell]
O 0.100 0.556 0.296 [8 per cell]
O 0.169 0.250 0.913 [4 per cell]
O 0.177 0.044 0.612 [8 per cell]